[1]
Ac3CdTe2: computed X-ray diffraction stick pattern (Cu Kα (weighted mean of Kα1 and Kα2)), based on a crystal structure in Alexandria, relaxed with GGA-PBE.

Largest 6 diffraction maxima, by intensity, 2θ from 10° to 90°:
26.49 deg, rel. 100
37.82 deg, rel. 53
61.62 deg, rel. 19
46.93 deg, rel. 14
37.59 deg, rel. 13
37.99 deg, rel. 13

Atomic structure:
```
Ac3CdTe2
1.0
6.724 0.000 0.000
0.000 14.210 0.000
-0.023 0.000 9.571
Ac Cd Te
12 4 8
direct
0.248 0.079 0.120 Ac
0.248 0.421 0.620 Ac
0.250 0.085 0.628 Ac
0.250 0.415 0.128 Ac
0.251 0.749 0.628 Ac
0.251 0.751 0.128 Ac
0.749 0.249 0.872 Ac
0.749 0.251 0.372 Ac
0.750 0.585 0.872 Ac
0.750 0.915 0.372 Ac
0.752 0.579 0.380 Ac
0.752 0.921 0.880 Ac
0.252 0.588 0.374 Cd
0.252 0.912 0.874 Cd
0.748 0.088 0.126 Cd
0.748 0.412 0.626 Cd
0.249 0.246 0.374 Te
0.249 0.254 0.874 Te
0.250 0.583 0.880 Te
0.250 0.917 0.380 Te
0.750 0.083 0.620 Te
0.750 0.417 0.120 Te
0.751 0.746 0.126 Te
0.751 0.754 0.626 Te
```



[2]
Ac5CdTe4: computed X-ray diffraction stick pattern (Cu Kα (weighted mean of Kα1 and Kα2)), based on a crystal structure in Alexandria, relaxed with GGA-PBE.

Largest 6 diffraction maxima, by intensity, 2θ from 10° to 90°:
26.52 deg, rel. 100
37.86 deg, rel. 79
46.82 deg, rel. 29
61.67 deg, rel. 25
68.34 deg, rel. 21
22.92 deg, rel. 15

Atomic structure:
```
Ac5CdTe4
1.0
6.709 0.000 0.000
3.346 7.521 0.000
3.351 -0.001 7.523
Ac Cd Te
5 1 4
direct
0.000 0.000 0.000 Ac
0.206 0.195 0.395 Ac
0.400 0.395 0.805 Ac
0.600 0.605 0.195 Ac
0.794 0.805 0.605 Ac
0.500 0.000 0.000 Cd
0.096 0.600 0.207 Te
0.303 0.793 0.600 Te
0.697 0.207 0.400 Te
0.904 0.400 0.793 Te
```



[3]
Ac2CdTe4: computed X-ray diffraction stick pattern (Cu Kα (weighted mean of Kα1 and Kα2)), based on a crystal structure in Alexandria, relaxed with GGA-PBE.

Largest 6 diffraction maxima, by intensity, 2θ from 10° to 90°:
30.89 deg, rel. 100
29.21 deg, rel. 94
29.20 deg, rel. 90
26.83 deg, rel. 85
22.86 deg, rel. 57
44.29 deg, rel. 55

Atomic structure:
```
Ac2CdTe4
1.0
7.675 0.000 0.000
0.000 7.780 0.000
-2.678 0.000 8.667
Ac Cd Te
4 2 8
direct
0.221 0.250 0.053 Ac
0.235 0.250 0.561 Ac
0.765 0.750 0.439 Ac
0.779 0.750 0.947 Ac
0.244 0.750 0.313 Cd
0.756 0.250 0.687 Cd
0.021 0.516 0.753 Te
0.021 0.984 0.753 Te
0.442 0.750 0.099 Te
0.451 0.750 0.624 Te
0.549 0.250 0.376 Te
0.558 0.250 0.901 Te
0.979 0.016 0.247 Te
0.979 0.484 0.247 Te
```



[4]
Ac4Tl4Cd3: computed X-ray diffraction stick pattern (Cu Kα (weighted mean of Kα1 and Kα2)), based on a crystal structure in Alexandria, relaxed with GGA-PBE.

Largest 6 diffraction maxima, by intensity, 2θ from 10° to 90°:
33.39 deg, rel. 100
29.33 deg, rel. 63
35.27 deg, rel. 49
30.47 deg, rel. 40
31.09 deg, rel. 32
58.58 deg, rel. 30

Atomic structure:
```
Ac4Tl4Cd3
1.0
17.373 -2.545 0.000
17.373 2.545 0.000
-0.036 0.000 4.012
Ac Tl Cd
4 4 3
direct
0.055 0.055 0.005 Ac
0.319 0.319 0.985 Ac
0.681 0.681 0.015 Ac
0.945 0.945 0.995 Ac
0.228 0.228 0.605 Tl
0.406 0.406 0.490 Tl
0.594 0.594 0.510 Tl
0.772 0.772 0.395 Tl
0.140 0.140 0.503 Cd
0.500 0.500 0.500 Cd
0.860 0.860 0.497 Cd
```